1.
For ZnNiAsO5, a structure optimized by DFT (PBE+U) gives the computed powder diffractogram in this record (Cu Kα X-rays).
Peak positions follow from Bragg's law for the DFT cell and can differ from measured ones.

Peak list (10 most intense, 2θ = 10–90°, sorted by position)
- (0 0 2), 21.5°, 4.128 Å, I 43
- (0 2 0), 22.5°, 3.948 Å, I 66
- (1 2 0), 27.0°, 3.297 Å, I 100
- (1 2 1), 29.2°, 3.061 Å, I 69
- (2 1 1), 33.8°, 2.652 Å, I 96
- (0 1 3), 34.6°, 2.593 Å, I 69
- (1 2 2), 34.9°, 2.574 Å, I 44
- (2 0 2), 37.1°, 2.423 Å, I 39
- (1 1 3), 37.8°, 2.380 Å, I 42
- (2 1 5), 65.8°, 1.420 Å, I 44

Structural model:
a b c (Å): 5.993 7.897 8.236
angles (deg): 90.00 90.00 90.00
Space group P2_12_12_1 (No. 19)
One atom of each set of equivalent atoms:
Zn 0.028 0.199 0.311
Ni 0.240 0.752 0.499
As 0.012 0.098 0.684
O 0.007 0.397 0.898
O 0.008 0.134 0.086
O 0.033 0.247 0.534
O 0.235 0.625 0.708
O 0.244 0.893 0.299


2.
For ZnNiAs2O7, a structure optimized by DFT (PBE+U) gives the computed powder diffractogram in this record (Cu Kα X-rays).
Peak positions follow from Bragg's law for the DFT cell and can differ from measured ones.

Peak list (10 most intense, 2θ = 10–90°, sorted by position)
- (1 0 2), 28.1°, 3.170 Å, I 100
- (2 1 -2), 28.3°, 3.153 Å, I 42
- (1 3 0), 33.8°, 2.652 Å, I 16
- (2 2 0), 33.9°, 2.645 Å, I 19
- (1 2 2), 35.0°, 2.561 Å, I 7
- (1 1 3), 39.1°, 2.303 Å, I 7
- (0 2 4), 45.8°, 1.981 Å, I 10
- (3 3 -4), 55.5°, 1.655 Å, I 16
- (4 3 -2), 60.2°, 1.537 Å, I 8
- (4 1 -6), 66.7°, 1.402 Å, I 8

Structural model:
a b c (Å): 7.262 8.659 9.691
angles (deg): 90.00 113.10 90.00
Space group P2_1/c (No. 14)
One atom of each set of equivalent atoms:
Zn 0.226 0.077 0.110
Ni 0.317 0.059 0.687
As 0.067 0.728 0.749
As 0.481 0.721 0.041
O 0.039 0.599 0.606
O 0.142 0.234 0.711
O 0.142 0.595 0.225
O 0.245 0.647 0.918
O 0.361 0.230 0.552
O 0.456 0.603 0.611
O 0.468 0.077 0.329


3.
For VAs2Pb2O9, a structure optimized by DFT (PBE+U) gives the computed powder diffractogram in this record (Cu Kα X-rays).
Peak positions follow from Bragg's law for the DFT cell and can differ from measured ones.

Peak list (10 most intense, 2θ = 10–90°, sorted by position)
- (0 2 0), 10.6°, 8.352 Å, I 43
- (0 3 1), 20.8°, 4.261 Å, I 36
- (0 0 2), 26.9°, 3.310 Å, I 73
- (2 0 0), 27.9°, 3.194 Å, I 100
- (2 0 -2), 29.2°, 3.058 Å, I 76
- (0 5 1), 29.9°, 2.984 Å, I 76
- (1 5 0), 30.2°, 2.960 Å, I 94
- (1 5 -2), 36.4°, 2.468 Å, I 46
- (2 5 -1), 37.0°, 2.430 Å, I 36
- (4 0 -4), 60.6°, 1.528 Å, I 28

Structural model:
a b c (Å): 7.094 16.705 7.352
angles (deg): 90.00 115.80 90.00
Space group P2_1/c (No. 14)
One atom of each set of equivalent atoms:
V 0.250 0.245 0.223
As 0.247 0.080 0.498
As 0.250 0.663 0.506
Pb 0.244 0.036 0.986
Pb 0.253 0.620 0.012
O 0.048 0.023 0.328
O 0.053 0.723 0.334
O 0.149 0.599 0.625
O 0.158 0.141 0.636
O 0.245 0.216 0.999
O 0.351 0.139 0.368
O 0.363 0.601 0.392
O 0.430 0.018 0.667
O 0.435 0.730 0.663


4.
For Sr2VAs2O9, a structure optimized by DFT (PBE+U) gives the computed powder diffractogram in this record (Cu Kα X-rays).
Peak positions follow from Bragg's law for the DFT cell and can differ from measured ones.

Peak list (10 most intense, 2θ = 10–90°, sorted by position)
- (1 1 1), 25.1°, 3.541 Å, I 29
- (2 0 0), 27.1°, 3.284 Å, I 53
- (2 0 -2), 28.2°, 3.161 Å, I 92
- (0 0 2), 29.5°, 3.024 Å, I 80
- (1 5 0), 30.2°, 2.956 Å, I 31
- (1 5 -1), 30.5°, 2.932 Å, I 100
- (1 5 1), 36.8°, 2.444 Å, I 43
- (4 0 -2), 47.7°, 1.905 Å, I 31
- (3 5 -3), 51.4°, 1.778 Å, I 29
- (0 0 4), 61.3°, 1.511 Å, I 30

Structural model:
a b c (Å): 7.621 16.549 7.011
angles (deg): 90.00 120.46 90.00
Space group Cc (No. 9)
One atom of each set of equivalent atoms:
Sr 0.000 0.044 0.000
Sr 0.498 0.124 0.999
V 0.275 0.254 0.274
As 0.000 0.423 0.000
As 0.499 0.338 0.999
O 0.000 0.213 0.994
O 0.114 0.101 0.727
O 0.133 0.361 0.234
O 0.165 0.229 0.480
O 0.172 0.480 0.977
O 0.327 0.020 0.520
O 0.333 0.272 0.022
O 0.365 0.140 0.267
O 0.384 0.399 0.770


5.
For V3As4O16, a structure optimized by DFT (PBE+U) gives the computed powder diffractogram in this record (Cu Kα X-rays).
Peak positions follow from Bragg's law for the DFT cell and can differ from measured ones.

Peak list (10 most intense, 2θ = 10–90°, sorted by position)
- (1 0 2), 18.8°, 4.722 Å, I 85
- (1 1 -1), 21.4°, 4.161 Å, I 97
- (1 1 0), 21.5°, 4.128 Å, I 30
- (0 0 4), 22.7°, 3.921 Å, I 99
- (1 1 -3), 25.2°, 3.529 Å, I 43
- (2 1 -1), 29.4°, 3.036 Å, I 100
- (1 1 3), 29.7°, 3.009 Å, I 32
- (1 1 -5), 32.9°, 2.719 Å, I 58
- (0 1 5), 33.7°, 2.656 Å, I 31
- (3 2 -2), 51.2°, 1.785 Å, I 29

Structural model:
a b c (Å): 7.659 4.993 16.373
angles (deg): 90.00 106.71 90.00
Space group P2_1/c (No. 14)
One atom of each set of equivalent atoms:
V 0.000 0.000 0.000
V 0.296 0.058 0.631
As 0.108 0.049 0.407
As 0.381 0.053 0.847
O 0.021 0.245 0.602
O 0.095 0.735 0.090
O 0.179 0.163 0.324
O 0.234 0.182 0.504
O 0.279 0.525 0.239
O 0.325 0.634 0.419
O 0.405 0.136 0.157
O 0.472 0.664 0.120


6.
For VAs2O7, a structure optimized by DFT (PBE+U) gives the computed powder diffractogram in this record (Cu Kα X-rays).
Peak positions follow from Bragg's law for the DFT cell and can differ from measured ones.

Peak list (10 most intense, 2θ = 10–90°, sorted by position)
- (0 1 1), 13.8°, 6.435 Å, I 36
- (0 2 0), 19.4°, 4.569 Å, I 100
- (1 0 -2), 20.2°, 4.399 Å, I 44
- (1 1 1), 20.8°, 4.280 Å, I 67
- (1 0 2), 26.5°, 3.366 Å, I 83
- (2 1 0), 27.8°, 3.209 Å, I 31
- (1 2 -2), 28.2°, 3.168 Å, I 92
- (2 1 -2), 29.5°, 3.026 Å, I 94
- (2 2 0), 32.7°, 2.741 Å, I 30
- (1 2 2), 33.1°, 2.710 Å, I 55

Structural model:
a b c (Å): 7.149 9.138 9.454
angles (deg): 90.00 106.51 90.00
Space group P2_1/c (No. 14)
One atom of each set of equivalent atoms:
V 0.196 0.073 0.292
As 0.027 0.704 0.960
As 0.416 0.750 0.261
O 0.010 0.121 0.112
O 0.021 0.585 0.821
O 0.154 0.171 0.454
O 0.245 0.672 0.097
O 0.362 0.236 0.272
O 0.369 0.560 0.754
O 0.381 0.668 0.406


7.
For V3Zn3As4O16, a structure optimized by DFT (PBE+U) gives the computed powder diffractogram in this record (Cu Kα X-rays).
Peak positions follow from Bragg's law for the DFT cell and can differ from measured ones.

Peak list (10 most intense, 2θ = 10–90°, sorted by position)
- (0 1 1), 18.2°, 4.881 Å, I 37
- (2 0 -2), 20.4°, 4.360 Å, I 30
- (1 1 -3), 24.8°, 3.592 Å, I 38
- (2 1 -1), 26.1°, 3.409 Å, I 100
- (1 1 3), 29.2°, 3.056 Å, I 99
- (1 1 -5), 33.7°, 2.660 Å, I 55
- (0 2 0), 34.7°, 2.586 Å, I 66
- (0 1 5), 35.0°, 2.561 Å, I 30
- (3 1 -3), 35.4°, 2.534 Å, I 62
- (3 0 2), 37.0°, 2.430 Å, I 28

Structural model:
a b c (Å): 9.069 5.172 15.518
angles (deg): 90.00 108.26 90.00
Space group P2_1/c (No. 14)
One atom of each set of equivalent atoms:
V 0.000 0.000 0.000
V 0.259 0.059 0.619
Zn 0.221 0.546 0.725
Zn 0.500 0.000 0.500
As 0.114 0.531 0.902
As 0.447 0.511 0.346
O 0.050 0.677 0.078
O 0.115 0.169 0.111
O 0.135 0.127 0.308
O 0.273 0.100 0.499
O 0.290 0.583 0.243
O 0.393 0.686 0.423
O 0.399 0.145 0.183
O 0.499 0.696 0.125